Starting from a DFT-relaxed cell (GGA-PBE, Alexandria), the powder diffractogram of Ac2La5Au3 was simulated for Cu Kα, 1.54184 Å.
Neutral-atom scattering factors, no anomalous dispersion.

Structure:
a = 15.6651 Å, b = 15.6651 Å, c = 8.1915 Å
α = 90.00°, β = 90.00°, γ = 160.97°
Positions (direct):
Ac  0.0272  0.9728  0.5000
Ac  0.3279  0.6721  0.4777
Ac  0.6721  0.3279  0.9777
Ac  0.9728  0.0272  0.0000
La  0.0968  0.9032  0.1201
La  0.2030  0.7970  0.6833
La  0.2094  0.7906  0.2510
La  0.3731  0.6269  0.9583
La  0.4509  0.5491  0.3322
La  0.5491  0.4509  0.8322
La  0.6269  0.3731  0.4583
La  0.7906  0.2094  0.7510
La  0.7970  0.2030  0.1833
La  0.9032  0.0968  0.6201
Au  0.1063  0.8937  0.7465
Au  0.2705  0.7295  0.9637
Au  0.4547  0.5453  0.7156
Au  0.5453  0.4547  0.2156
Au  0.7295  0.2705  0.4637
Au  0.8937  0.1063  0.2465

The 10 most intense peaks (2θ from 10° to 90°), by angle:
- 27.9°, d = 3.200 Å, rel. 16
- 28.7°, d = 3.108 Å, rel. 72
- 29.1°, d = 3.067 Å, rel. 100
- 30.9°, d = 2.891 Å, rel. 26
- 31.3°, d = 2.861 Å, rel. 20
- 34.6°, d = 2.589 Å, rel. 48
- 34.8°, d = 2.575 Å, rel. 19
- 38.3°, d = 2.348 Å, rel. 31
- 44.2°, d = 2.047 Å, rel. 17
- 47.1°, d = 1.929 Å, rel. 18